Simulated X-ray diffraction stick pattern
Compound: Th2MgNi5
Radiation: Cu Kα (weighted mean of Kα1 and Kα2)
Structure: a DFT-relaxed cell (PBE, Alexandria)
Intensities are scaled so that the largest is 100.

Top 10 peaks for 2θ from 10° to 80°, by intensity:
d (Å)  I_rel
2.396  100.0
2.323  90.8
2.801  54.3
4.372  49.8
4.326  47.7
3.075  39.3
2.186  39.1
2.163  37.1
2.877  28.6
1.838  26.7

Atomic structure:
a = 7.3574 Å, b = 8.6525 Å, c = 5.5908 Å
α = 90.00°, β = 128.56°, γ = 90.00°
Atoms (fractional coordinates):
Th 0.0000 0.2457 0.0000
Th 0.0000 0.7543 0.0000
Th 0.5000 0.2543 0.0000
Th 0.5000 0.7457 0.0000
Mg 0.0810 0.0000 0.5167
Mg 0.5810 0.5000 0.5167
Ni 0.1985 0.5000 0.9230
Ni 0.2227 0.5000 0.4883
Ni 0.2923 0.0000 0.1067
Ni 0.4879 0.2015 0.5044
Ni 0.4879 0.7985 0.5044
Ni 0.6985 0.0000 0.9230
Ni 0.7227 0.0000 0.4883
Ni 0.7923 0.5000 0.1067
Ni 0.9879 0.2985 0.5044
Ni 0.9879 0.7015 0.5044

Simulated X-ray diffraction stick pattern
Compound: MgTi3Ni
Radiation: Cu Kα (weighted mean of Kα1 and Kα2)
Structure: a DFT-relaxed cell (PBE, Alexandria)
Intensities are scaled so that the largest is 100.

Top 10 peaks for 2θ from 10° to 80°, by intensity:
d (Å)  I_rel
2.298  100.0
4.597  90.7
1.625  62.3
2.654  39.9
2.056  38.9
1.327  19.8
3.250  18.4
1.532  17.3
1.386  12.9
1.877  7.8

Atomic structure:
a = 4.5966 Å, b = 4.5966 Å, c = 4.5966 Å
α = 90.00°, β = 90.00°, γ = 90.00°
Atoms (fractional coordinates):
Mg 0.0000 0.0000 0.0000
Ti 0.0000 0.5000 0.5000
Ti 0.5000 0.0000 0.5000
Ti 0.5000 0.5000 0.0000
Ni 0.5000 0.5000 0.5000

Simulated X-ray diffraction stick pattern
Compound: Mg8Tl2Ni
Radiation: Cu Kα (weighted mean of Kα1 and Kα2)
Structure: a DFT-relaxed cell (PBE, Alexandria)
Intensities are scaled so that the largest is 100.

Top 10 peaks for 2θ from 10° to 80°, by intensity:
d (Å)  I_rel
2.396  100.0
3.937  78.9
3.959  76.5
3.482  67.1
2.472  31.9
7.352  30.8
2.011  29.5
2.094  29.4
2.528  29.0
2.084  21.2

Atomic structure:
a = 8.4278 Å, b = 8.4278 Å, c = 6.6079 Å
α = 113.02°, β = 113.02°, γ = 34.12°
Atoms (fractional coordinates):
Mg 0.0005 0.0005 0.2719
Mg 0.1835 0.1835 0.6856
Mg 0.3726 0.3726 0.6289
Mg 0.3743 0.3743 0.1150
Mg 0.6257 0.6257 0.8850
Mg 0.6274 0.6274 0.3711
Mg 0.8165 0.8165 0.3144
Mg 0.9995 0.9995 0.7281
Tl 0.1822 0.1822 0.1823
Tl 0.8178 0.8178 0.8177
Ni 0.5000 0.5000 0.5000

Simulated X-ray diffraction stick pattern
Compound: Tm4Mg5Ni2
Radiation: Cu Kα (weighted mean of Kα1 and Kα2)
Structure: a DFT-relaxed cell (PBE, Alexandria)
Intensities are scaled so that the largest is 100.

Top 10 peaks for 2θ from 10° to 80°, by intensity:
d (Å)  I_rel
7.850  100.0
2.615  71.2
2.607  41.6
2.348  41.6
2.684  39.8
2.333  36.8
6.276  29.7
4.204  28.1
2.485  23.0
3.487  22.8

Atomic structure:
a = 7.8694 Å, b = 3.4874 Å, c = 9.5475 Å
α = 90.00°, β = 94.00°, γ = 90.00°
Atoms (fractional coordinates):
Tm 0.1655 0.0000 0.3371
Tm 0.2021 0.0000 0.9485
Tm 0.7979 0.0000 0.0515
Tm 0.8345 0.0000 0.6629
Mg 0.1782 0.5000 0.6469
Mg 0.4563 0.5000 0.1717
Mg 0.5000 0.5000 0.5000
Mg 0.5437 0.5000 0.8283
Mg 0.8218 0.5000 0.3531
Ni 0.0628 0.5000 0.1349
Ni 0.9372 0.5000 0.8651

Simulated X-ray diffraction stick pattern
Compound: TmMg4Ni
Radiation: Cu Kα (weighted mean of Kα1 and Kα2)
Structure: a DFT-relaxed cell (PBE, Alexandria)
Intensities are scaled so that the largest is 100.

Top 10 peaks for 2θ from 10° to 80°, by intensity:
d (Å)  I_rel
4.206  100.0
2.017  97.1
3.914  87.8
2.466  87.3
3.626  81.0
2.521  64.4
1.875  46.1
3.425  45.6
2.725  40.5
2.497  37.1

Atomic structure:
a = 8.3672 Å, b = 8.3672 Å, c = 8.3672 Å
α = 142.87°, β = 131.67°, γ = 62.48°
Atoms (fractional coordinates):
Tm 0.2073 0.2073 0.0000
Tm 0.7927 0.7927 0.0000
Mg 0.1219 0.3901 0.7318
Mg 0.2010 0.0000 0.2010
Mg 0.3401 0.8401 0.5000
Mg 0.3417 0.6099 0.7318
Mg 0.6583 0.3901 0.2682
Mg 0.6599 0.1599 0.5000
Mg 0.7990 0.0000 0.7990
Mg 0.8781 0.6099 0.2682
Ni 0.5000 0.2730 0.7730
Ni 0.5000 0.7270 0.2270

Simulated X-ray diffraction stick pattern
Compound: Tm6Mg3Ni
Radiation: Cu Kα (weighted mean of Kα1 and Kα2)
Structure: a DFT-relaxed cell (PBE, Alexandria)
Intensities are scaled so that the largest is 100.

Top 10 peaks for 2θ from 10° to 80°, by intensity:
d (Å)  I_rel
2.844  100.0
2.621  54.1
3.292  51.8
2.711  48.8
2.772  47.2
3.129  39.4
1.941  37.5
5.918  31.4
3.956  24.7
1.749  24.3

Atomic structure:
a = 6.6675 Å, b = 6.6675 Å, c = 7.1628 Å
α = 100.43°, β = 100.43°, γ = 63.30°
Atoms (fractional coordinates):
Tm 0.1255 0.6407 0.6613
Tm 0.1563 0.1563 0.8593
Tm 0.3593 0.8745 0.3387
Tm 0.6407 0.1255 0.6613
Tm 0.8437 0.8437 0.1407
Tm 0.8745 0.3593 0.3387
Mg 0.3545 0.3545 0.2761
Mg 0.5000 0.5000 0.0000
Mg 0.6455 0.6455 0.7239
Ni 0.0000 0.0000 0.5000

Simulated X-ray diffraction stick pattern
Compound: TmMg2Ni2
Radiation: Cu Kα (weighted mean of Kα1 and Kα2)
Structure: a DFT-relaxed cell (PBE, Alexandria)
Intensities are scaled so that the largest is 100.

Top 10 peaks for 2θ from 10° to 80°, by intensity:
d (Å)  I_rel
2.381  100.0
4.782  92.8
2.535  71.1
2.825  66.2
3.015  54.9
1.945  45.9
4.029  42.9
1.981  39.0
2.324  26.6
3.164  26.5

Atomic structure:
a = 4.8623 Å, b = 3.9612 Å, c = 10.0651 Å
α = 90.00°, β = 100.45°, γ = 90.00°
Atoms (fractional coordinates):
Tm 0.0310 0.2500 0.2707
Tm 0.9690 0.7500 0.7293
Mg 0.2528 0.2500 0.9787
Mg 0.4191 0.2500 0.6076
Mg 0.5809 0.7500 0.3924
Mg 0.7472 0.7500 0.0213
Ni 0.1110 0.7500 0.4721
Ni 0.2937 0.7500 0.1514
Ni 0.7063 0.2500 0.8486
Ni 0.8890 0.2500 0.5279

Simulated X-ray diffraction stick pattern
Compound: Tm6MgNi
Radiation: Cu Kα (weighted mean of Kα1 and Kα2)
Structure: a DFT-relaxed cell (PBE, Alexandria)
Intensities are scaled so that the largest is 100.

Top 10 peaks for 2θ from 10° to 80°, by intensity:
d (Å)  I_rel
2.956  100.0
2.917  22.4
1.691  19.5
1.980  16.6
3.429  16.5
2.221  15.6
2.224  14.1
1.639  13.4
5.624  11.4
1.645  9.5

Atomic structure:
a = 6.8548 Å, b = 6.8579 Å, c = 7.0466 Å
α = 90.04°, β = 119.06°, γ = 119.97°
Atoms (fractional coordinates):
Tm 0.0547 0.0772 0.2597
Tm 0.2822 0.7049 0.2596
Tm 0.3169 0.5222 0.7403
Tm 0.6831 0.4778 0.2597
Tm 0.7178 0.2951 0.7404
Tm 0.9453 0.9228 0.7403
Mg 0.5000 0.0000 0.0000
Ni 0.5000 0.5000 0.5000

Simulated X-ray diffraction stick pattern
Compound: Tm3Mg3Ni
Radiation: Cu Kα (weighted mean of Kα1 and Kα2)
Structure: a DFT-relaxed cell (PBE, Alexandria)
Intensities are scaled so that the largest is 100.

Top 10 peaks for 2θ from 10° to 80°, by intensity:
d (Å)  I_rel
2.709  100.0
2.873  74.3
8.127  71.1
1.659  67.4
2.488  53.9
3.519  37.8
1.971  37.5
3.229  29.0
1.833  25.5
1.720  19.4

Atomic structure:
a = 9.9538 Å, b = 9.9538 Å, c = 9.9538 Å
α = 60.00°, β = 60.00°, γ = 60.00°
Atoms (fractional coordinates):
Tm 0.0710 0.0710 0.6790
Tm 0.0710 0.6790 0.0710
Tm 0.0710 0.6790 0.6790
Tm 0.3210 0.3210 0.9290
Tm 0.3210 0.9290 0.3210
Tm 0.3210 0.9290 0.9290
Tm 0.6790 0.0710 0.0710
Tm 0.6790 0.0710 0.6790
Tm 0.6790 0.6790 0.0710
Tm 0.9290 0.3210 0.3210
Tm 0.9290 0.3210 0.9290
Tm 0.9290 0.9290 0.3210
Mg 0.0000 0.5000 0.5000
Mg 0.2940 0.2940 0.2940
Mg 0.2940 0.2940 0.6180
Mg 0.2940 0.6180 0.2940
Mg 0.3820 0.7060 0.7060
Mg 0.5000 0.0000 0.5000
Mg 0.5000 0.5000 0.0000
Mg 0.5000 0.5000 0.5000
Mg 0.6180 0.2940 0.2940
Mg 0.7060 0.3820 0.7060
Mg 0.7060 0.7060 0.3820
Mg 0.7060 0.7060 0.7060
Ni 0.0000 0.0000 0.0000
Ni 0.0000 0.0000 0.5000
Ni 0.0000 0.5000 0.0000
Ni 0.5000 0.0000 0.0000

Simulated X-ray diffraction stick pattern
Compound: Tm12MgNi6
Radiation: Cu Kα (weighted mean of Kα1 and Kα2)
Structure: a DFT-relaxed cell (PBE, Alexandria)
Intensities are scaled so that the largest is 100.

Top 10 peaks for 2θ from 10° to 80°, by intensity:
d (Å)  I_rel
2.565  100.0
3.035  46.2
1.646  38.4
2.771  36.9
1.557  34.9
1.882  18.4
1.357  16.3
3.394  15.6
1.600  13.9
2.400  13.4

Atomic structure:
a = 8.3129 Å, b = 8.3129 Å, c = 8.3129 Å
α = 109.47°, β = 109.47°, γ = 109.47°
Atoms (fractional coordinates):
Tm 0.1166 0.8127 0.3039
Tm 0.1873 0.3039 0.4912
Tm 0.1873 0.6961 0.8834
Tm 0.3039 0.1166 0.8127
Tm 0.3039 0.4912 0.1873
Tm 0.4912 0.1873 0.3039
Tm 0.5088 0.8127 0.6961
Tm 0.6961 0.5088 0.8127
Tm 0.6961 0.8834 0.1873
Tm 0.8127 0.3039 0.1166
Tm 0.8127 0.6961 0.5088
Tm 0.8834 0.1873 0.6961
Mg 0.0000 0.0000 0.0000
Ni 0.1235 0.6235 0.5000
Ni 0.3765 0.5000 0.8765
Ni 0.5000 0.1235 0.6235
Ni 0.5000 0.8765 0.3765
Ni 0.6235 0.5000 0.1235
Ni 0.8765 0.3765 0.5000

Simulated X-ray diffraction stick pattern
Compound: TmMgNi
Radiation: Cu Kα (weighted mean of Kα1 and Kα2)
Structure: a DFT-relaxed cell (PBE, Alexandria)
Intensities are scaled so that the largest is 100.

Top 10 peaks for 2θ from 10° to 80°, by intensity:
d (Å)  I_rel
6.425  100.0
2.790  63.3
2.628  60.9
2.371  59.9
2.488  38.7
3.421  34.0
2.458  29.6
2.142  29.2
1.910  27.7
1.865  23.8

Atomic structure:
a = 10.0573 Å, b = 3.7292 Å, c = 7.5160 Å
α = 90.00°, β = 121.25°, γ = 90.00°
Atoms (fractional coordinates):
Tm 0.0760 0.0000 0.3468
Tm 0.4240 0.5000 0.6532
Tm 0.5760 0.5000 0.3468
Tm 0.9240 0.0000 0.6532
Mg 0.1764 0.5000 0.0745
Mg 0.3236 0.0000 0.9255
Mg 0.6764 0.0000 0.0745
Mg 0.8236 0.5000 0.9255
Ni 0.1334 0.5000 0.6586
Ni 0.3666 0.0000 0.3414
Ni 0.6334 0.0000 0.6586
Ni 0.8666 0.5000 0.3414

Simulated X-ray diffraction stick pattern
Compound: Y6MgNi2
Radiation: Cu Kα (weighted mean of Kα1 and Kα2)
Structure: a DFT-relaxed cell (PBE, Alexandria)
Intensities are scaled so that the largest is 100.

Top 10 peaks for 2θ from 10° to 80°, by intensity:
d (Å)  I_rel
2.818  100.0
2.580  72.6
2.627  67.1
2.653  60.4
2.551  54.5
6.757  38.2
1.549  33.0
2.261  29.0
2.350  27.6
2.306  26.4

Atomic structure:
a = 8.4736 Å, b = 8.4736 Å, c = 8.4736 Å
α = 112.63°, β = 110.01°, γ = 105.85°
Atoms (fractional coordinates):
Y 0.0338 0.2343 0.7994
Y 0.1834 0.2893 0.4726
Y 0.1834 0.7107 0.8941
Y 0.3212 0.0130 0.6918
Y 0.3212 0.6293 0.3082
Y 0.4349 0.2343 0.2006
Y 0.5651 0.7657 0.7994
Y 0.6788 0.3707 0.6918
Y 0.6788 0.9870 0.3082
Y 0.8166 0.2893 0.1059
Y 0.8166 0.7107 0.5274
Y 0.9662 0.7657 0.2006
Mg 0.0000 0.0000 0.0000
Mg 0.5000 0.5000 0.0000
Ni 0.1189 0.6189 0.5000
Ni 0.3452 0.0000 0.3452
Ni 0.6548 0.0000 0.6548
Ni 0.8811 0.3811 0.5000